Calculated PXRD pattern of RbLiMgB4H16 for Cu Ka, from DFT lattice parameters and positions (PBE).
Neutral-atom scattering factors, no anomalous dispersion.

Structural model:
abc: 8.2540 7.8475 7.8475
angles: 74.70 90.00 90.00
Fractional coordinates of all 46 atoms:
Rb: 0.0000 0.0000 0.0000
Rb: 0.5000 0.5000 0.5000
Li: 0.0000 0.6423 0.6423
Li: 0.5000 0.1423 0.1423
Mg: 0.0000 0.3549 0.3549
Mg: 0.5000 0.8549 0.8549
B: 0.1048 0.6538 0.3296
B: 0.2341 0.2080 0.2751
B: 0.2659 0.7080 0.7751
B: 0.3952 0.1538 0.8296
B: 0.6048 0.8296 0.1538
B: 0.7341 0.7751 0.7080
B: 0.7659 0.2751 0.2080
B: 0.8952 0.3296 0.6538
H: 0.0159 0.6093 0.2219
H: 0.0262 0.7555 0.3913
H: 0.1350 0.7554 0.8187
H: 0.1474 0.5243 0.4487
H: 0.1549 0.1462 0.4105
H: 0.1691 0.3354 0.1711
H: 0.2247 0.7232 0.2521
H: 0.2492 0.0900 0.2023
H: 0.2508 0.5900 0.7023
H: 0.2753 0.2232 0.7521
H: 0.3309 0.8354 0.6711
H: 0.3451 0.6462 0.9105
H: 0.3526 0.0243 0.9487
H: 0.3650 0.2554 0.3187
H: 0.4738 0.2555 0.8913
H: 0.4841 0.1093 0.7219
H: 0.5159 0.7219 0.1093
H: 0.5262 0.8913 0.2555
H: 0.6350 0.3187 0.2554
H: 0.6474 0.9487 0.0243
H: 0.6549 0.9105 0.6462
H: 0.6691 0.6711 0.8354
H: 0.7247 0.7521 0.2232
H: 0.7492 0.7023 0.5900
H: 0.7508 0.2023 0.0900
H: 0.7753 0.2521 0.7232
H: 0.8309 0.1711 0.3354
H: 0.8451 0.4105 0.1462
H: 0.8526 0.4487 0.5243
H: 0.8650 0.8187 0.7554
H: 0.9738 0.3913 0.7555
H: 0.9841 0.2219 0.6093

Most intense lines, 2θ from 10° to 90°, in order of rising 2θ:
2θ 14.20, d = 6.238 Å, I = 61; 2θ 15.89, d = 5.579 Å, I = 92; 2θ 18.64, d = 4.761 Å, I = 85; 2θ 25.75, d = 3.460 Å, I = 100; 2θ 25.89, d = 3.442 Å, I = 57; 2θ 28.62, d = 3.119 Å, I = 49; 2θ 31.03, d = 2.882 Å, I = 42; 2θ 32.09, d = 2.789 Å, I = 48; 2θ 37.27, d = 2.413 Å, I = 53; 2θ 40.43, d = 2.231 Å, I = 40